1.
For Na3Pd5F12, a crystal structure in Alexandria, relaxed with PBE gives the theoretical powder diffractogram in this record (a wavelength of 1.5418 Å).

Atomic structure:
abc: 13.151 7.059 6.876
angles: 90.00 109.12 90.00
Space group C2/m (No. 12)
Unique sites:
Na1 0.000 0.000 0.000 (multiplicity 2)
Na2 0.000 0.259 0.500 (multiplicity 4)
Pd1 0.000 0.500 0.000 (multiplicity 2)
Pd2 0.232 0.000 0.469 (multiplicity 4)
Pd3 0.250 0.250 0.000 (multiplicity 4)
F1 0.070 0.000 0.381 (multiplicity 4)
F2 0.074 0.292 0.891 (multiplicity 8)
F3 0.109 0.500 0.463 (multiplicity 4)
F4 0.211 0.000 0.163 (multiplicity 4)
F5 0.240 0.000 0.768 (multiplicity 4)

Principal peaks in the range 2θ from 10° to 90°, most intense first:
- hkl 2 2 -1, 30.12 deg, rel. 100
- hkl 4 0 0, 28.76 deg, rel. 89
- hkl 0 0 2, 27.46 deg, rel. 63
- hkl 2 0 0, 14.26 deg, rel. 46
- hkl 2 2 -3, 47.29 deg, rel. 44
- hkl 2 2 1, 34.27 deg, rel. 37
- hkl 6 2 -1, 48.92 deg, rel. 34
- hkl 4 0 2, 46.62 deg, rel. 18
- hkl 0 4 0, 51.80 deg, rel. 18
- hkl 6 2 -3, 56.80 deg, rel. 17

***

2.
For Sm8IrRh3I4, a crystal structure in Alexandria, relaxed with PBE gives the theoretical powder diffractogram in this record (a wavelength of 1.5418 Å).

Atomic structure:
abc: 14.372 8.297 9.378
angles: 90.00 120.79 90.00
Space group C2/m (No. 12)
Unique sites:
Sm1 0.022 0.249 0.316 (multiplicity 8)
Sm2 0.227 0.000 0.683 (multiplicity 4)
Sm3 0.228 0.500 0.684 (multiplicity 4)
Ir1 0.000 0.000 0.500 (multiplicity 2)
Rh1 0.000 0.500 0.500 (multiplicity 2)
Rh2 0.250 0.250 0.500 (multiplicity 4)
I1 0.000 0.000 0.000 (multiplicity 2)
I2 0.000 0.500 0.000 (multiplicity 2)
I3 0.250 0.250 0.000 (multiplicity 4)

Principal peaks in the range 2θ from 10° to 90°, most intense first:
- hkl 4 0 0, 28.91 deg, rel. 100
- hkl 0 4 0, 43.63 deg, rel. 39
- hkl 2 2 2, 38.95 deg, rel. 26
- hkl 4 4 0, 53.19 deg, rel. 18
- hkl 0 0 1, 10.98 deg, rel. 18
- hkl 10 2 -2, 71.16 deg, rel. 15
- hkl 2 2 -3, 36.08 deg, rel. 13
- hkl 4 0 -3, 31.01 deg, rel. 12
- hkl 6 2 -8, 86.31 deg, rel. 9
- hkl 2 2 3, 48.57 deg, rel. 8

***

3.
For P3IrO9, a crystal structure in Alexandria, relaxed with PBE gives the theoretical powder diffractogram in this record (a wavelength of 1.5418 Å).

Atomic structure:
abc: 5.092 7.168 10.514
angles: 98.56 91.88 92.04
Space group P-1 (No. 2)
Unique sites:
P1 0.001 0.158 0.357 (multiplicity 2)
P2 0.018 0.446 0.177 (multiplicity 2)
P3 0.264 0.198 0.768 (multiplicity 2)
Ir1 0.500 0.000 0.500 (multiplicity 1)
Ir2 0.500 0.500 0.000 (multiplicity 1)
O1 0.024 0.338 0.765 (multiplicity 2)
O2 0.049 0.652 0.699 (multiplicity 2)
O3 0.110 0.998 0.762 (multiplicity 2)
O4 0.165 0.842 0.526 (multiplicity 2)
O5 0.174 0.625 0.933 (multiplicity 2)
O6 0.294 0.144 0.376 (multiplicity 2)
O7 0.306 0.418 0.154 (multiplicity 2)
O8 0.407 0.236 0.898 (multiplicity 2)
O9 0.418 0.207 0.649 (multiplicity 2)

Principal peaks in the range 2θ from 10° to 90°, most intense first:
- hkl 0 1 -1, 14.04 deg, rel. 100
- hkl 0 1 1, 16.17 deg, rel. 72
- hkl 1 -1 1, 22.31 deg, rel. 33
- hkl 1 0 -2, 24.01 deg, rel. 30
- hkl 1 0 2, 24.97 deg, rel. 22
- hkl 1 1 -1, 22.61 deg, rel. 19
- hkl 1 1 -3, 31.97 deg, rel. 17
- hkl 1 -2 2, 33.22 deg, rel. 15
- hkl 0 2 2, 32.67 deg, rel. 15
- hkl -1 1 3, 34.49 deg, rel. 12

***

4.
For Cs5OsO4F2, a crystal structure in Alexandria, relaxed with PBE gives the theoretical powder diffractogram in this record (a wavelength of 1.5418 Å).

Atomic structure:
abc: 8.147 11.246 7.182
angles: 90.00 90.00 90.00
Space group Amm2 (No. 38)
Unique sites:
Cs1 0.000 0.000 0.000 (multiplicity 2)
Cs2 0.263 0.179 0.478 (multiplicity 8)
Os1 0.500 0.000 0.989 (multiplicity 2)
O1 0.345 0.000 0.190 (multiplicity 4)
O2 0.500 0.133 0.845 (multiplicity 4)
F1 0.000 0.212 0.752 (multiplicity 4)

Principal peaks in the range 2θ from 10° to 90°, most intense first:
- hkl 0 3 1, 26.83 deg, rel. 100
- hkl 2 1 1, 26.37 deg, rel. 95
- hkl 2 2 2, 37.00 deg, rel. 60
- hkl 0 0 2, 24.79 deg, rel. 53
- hkl 2 2 0, 27.03 deg, rel. 51
- hkl 2 5 1, 47.91 deg, rel. 31
- hkl 4 3 1, 52.71 deg, rel. 27
- hkl 0 3 3, 44.92 deg, rel. 26
- hkl 2 1 3, 44.64 deg, rel. 20
- hkl 4 3 3, 65.07 deg, rel. 17

***

5.
For Ba4GeIBr2, a crystal structure in Alexandria, relaxed with PBE gives the theoretical powder diffractogram in this record (a wavelength of 1.5418 Å).

Atomic structure:
abc: 8.304 4.900 8.623
angles: 90.00 109.57 90.00
Space group P2/m (No. 10)
Unique sites:
Ba1 0.231 0.000 0.221 (multiplicity 2)
Ba2 0.243 0.500 0.776 (multiplicity 2)
Ge1 0.000 0.500 0.000 (multiplicity 1)
I1 0.000 0.000 0.500 (multiplicity 1)
Br1 0.500 0.000 0.000 (multiplicity 1)
Br2 0.500 0.500 0.500 (multiplicity 1)

Principal peaks in the range 2θ from 10° to 90°, most intense first:
- hkl 1 1 1, 25.78 deg, rel. 100
- hkl 3 1 -1, 37.32 deg, rel. 25
- hkl 1 1 -3, 36.24 deg, rel. 24
- hkl 2 2 -2, 45.38 deg, rel. 14
- hkl 0 2 0, 36.68 deg, rel. 14
- hkl 2 2 2, 52.99 deg, rel. 12
- hkl 2 0 2, 36.85 deg, rel. 12
- hkl 4 2 0, 60.59 deg, rel. 11
- hkl 0 2 4, 59.09 deg, rel. 10
- hkl 4 0 0, 46.42 deg, rel. 6

***

6.
For FeB2W, a crystal structure in Alexandria, relaxed with PBE gives the theoretical powder diffractogram in this record (a wavelength of 1.5418 Å).

Atomic structure:
abc: 6.031 3.036 8.129
angles: 90.00 90.00 90.00
Space group Pnma (No. 62)
Unique sites:
Fe1 0.010 0.250 0.116 (multiplicity 4)
B1 0.163 0.750 0.674 (multiplicity 4)
B2 0.240 0.750 0.079 (multiplicity 4)
W1 0.131 0.750 0.375 (multiplicity 4)

Principal peaks in the range 2θ from 10° to 90°, most intense first:
- hkl 1 1 2, 39.97 deg, rel. 100
- hkl 1 0 2, 26.44 deg, rel. 62
- hkl 2 0 1, 31.65 deg, rel. 47
- hkl 2 1 0, 42.24 deg, rel. 45
- hkl 1 1 1, 34.88 deg, rel. 40
- hkl 0 0 4, 44.59 deg, rel. 34
- hkl 2 1 4, 63.10 deg, rel. 26
- hkl 3 0 1, 46.54 deg, rel. 22
- hkl 1 1 6, 78.99 deg, rel. 22
- hkl 0 1 1, 31.46 deg, rel. 21

***

Please write out number 5 again, unchanged.
For Ba4GeIBr2, a crystal structure in Alexandria, relaxed with PBE gives the theoretical powder diffractogram in this record (a wavelength of 1.5418 Å).

Atomic structure:
abc: 8.304 4.900 8.623
angles: 90.00 109.57 90.00
Space group P2/m (No. 10)
Unique sites:
Ba1 0.231 0.000 0.221 (multiplicity 2)
Ba2 0.243 0.500 0.776 (multiplicity 2)
Ge1 0.000 0.500 0.000 (multiplicity 1)
I1 0.000 0.000 0.500 (multiplicity 1)
Br1 0.500 0.000 0.000 (multiplicity 1)
Br2 0.500 0.500 0.500 (multiplicity 1)

Principal peaks in the range 2θ from 10° to 90°, most intense first:
- hkl 1 1 1, 25.78 deg, rel. 100
- hkl 3 1 -1, 37.32 deg, rel. 25
- hkl 1 1 -3, 36.24 deg, rel. 24
- hkl 2 2 -2, 45.38 deg, rel. 14
- hkl 0 2 0, 36.68 deg, rel. 14
- hkl 2 2 2, 52.99 deg, rel. 12
- hkl 2 0 2, 36.85 deg, rel. 12
- hkl 4 2 0, 60.59 deg, rel. 11
- hkl 0 2 4, 59.09 deg, rel. 10
- hkl 4 0 0, 46.42 deg, rel. 6